This entry pairs a crystal structure of YMg14Sn with its calculated XRD peak list. Radiation: CuKα. Structure: the GGA-PBE geometry in the Materials Project.
Intensities are scaled so that the largest is 100.

Largest 12 diffraction maxima, by angle, 2θ from 10° to 80°:
2θ = 15.84°, rel. 39, hkl 1 0 0; 2θ = 16.89°, rel. 11, hkl 0 0 2; 2θ = 23.23°, rel. 32, hkl 1 0 2; 2θ = 31.99°, rel. 29, hkl 2 0 0; 2θ = 32.55°, rel. 14, hkl 1 1 2; 2θ = 34.16°, rel. 26, hkl 0 0 4; 2θ = 36.39°, rel. 100, hkl 2 0 2; 2θ = 47.50°, rel. 19, hkl 2 0 4; 2θ = 57.02°, rel. 17, hkl 2 2 0; 2θ = 62.62°, rel. 20, hkl 2 0 6; 2θ = 68.17°, rel. 20, hkl 2 2 4; 2θ = 69.55°, rel. 14, hkl 4 0 2

a = 6.4606 Å, b = 6.4606 Å, c = 10.4989 Å
α = 90.00°, β = 90.00°, γ = 120.00°
Element x y z (fractional)
1 Y 0.0000 0.0000 0.0000
2 Mg 0.0071 0.5035 0.0000
3 Mg 0.1668 0.3335 0.2514
4 Mg 0.1668 0.3335 0.7486
5 Mg 0.1668 0.8332 0.2514
6 Mg 0.1668 0.8332 0.7486
7 Mg 0.4965 0.5035 0.0000
8 Mg 0.4965 0.9929 0.0000
9 Mg 0.5016 0.0032 0.5000
10 Mg 0.5016 0.4984 0.5000
11 Mg 0.6665 0.8332 0.2514
12 Mg 0.6665 0.8332 0.7486
13 Mg 0.6667 0.3333 0.2430
14 Mg 0.6667 0.3333 0.7570
15 Mg 0.9968 0.4984 0.5000
16 Sn 0.0000 0.0000 0.5000